This entry pairs a crystal structure of Sc3TiAs4 with its simulated powder diffraction line list. Radiation: copper Kα. Structure: a structure optimized by DFT (GGA-PBE).
Intensities are scaled so that the largest is 100.

Cell and atoms:
Unit cell a=7.6524 b=10.7895 c=3.8194 alpha=90.00 beta=90.00 gamma=90.00
Space group Cmmm (No. 65)
Inequivalent atoms, fractional coordinates:
1 Sc 0.0000 0.0000 0.0000
2 Sc 0.2500 0.2500 0.5000
3 Ti 0.0000 0.5000 0.0000
4 As 0.0000 0.2548 0.0000
5 As 0.2408 0.5000 0.5000

Principal peaks in the range 10° ≤ 2θ ≤ 90°, low angle first:
index  d/Å  two_theta  intensity
0 2 1  3.119  28.62  13
2 0 1  2.701  33.17  100
0 0 2  1.910  47.61  69
0 4 2  1.560  59.25  23
2 0 3  1.208  79.29  14
2 8 1  1.207  79.41  9
6 4 1  1.104  88.60  7
2 4 3  1.102  88.76  15